Record 1
Starting from DFT lattice parameters and positions (PBE), the X-ray powder pattern of Cs2TlCd3In4 was computed for Cu Kα, 1.54184 Å.

Atomic structure:
Cell lengths 5.1395, 5.1395, 12.7871 Å; angles 90.00, 90.00, 90.00 degrees
Fractional positions:
Cs 0.0000 0.5000 0.2494
Cs 0.5000 0.0000 0.7506
Tl 0.0000 0.0000 0.5000
Cd 0.0000 0.5000 0.8708
Cd 0.5000 0.0000 0.1292
Cd 0.5000 0.5000 0.5000
In 0.0000 0.0000 0.0000
In 0.0000 0.5000 0.6335
In 0.5000 0.0000 0.3665
In 0.5000 0.5000 0.0000

Top 10 peaks for 2θ from 15° to 90°, in order of rising 2θ:
two_theta, intensity
27.2, 47
28.2, 100
34.9, 65
37.5, 37
39.4, 24
44.8, 24
50.2, 23
53.6, 19
58.6, 25
69.2, 16



Record 2
Starting from DFT lattice parameters and positions (PBE), the X-ray powder pattern of Li2Hf2O5 was computed for Cu Kα, 1.54184 Å.

Atomic structure:
Cell lengths 5.6014, 5.6014, 7.5847 Å; angles 109.62, 109.62, 70.88 degrees
Fractional positions:
Li 0.1834 0.7883 0.5406
Li 0.2117 0.8166 0.9594
Li 0.7883 0.1834 0.0406
Li 0.8166 0.2117 0.4594
Hf 0.2234 0.2803 0.8818
Hf 0.2803 0.2234 0.3818
Hf 0.7197 0.7766 0.6182
Hf 0.7766 0.7197 0.1182
O 0.0000 0.5000 0.5000
O 0.0265 0.9735 0.2500
O 0.0790 0.3691 0.1322
O 0.3691 0.0790 0.6322
O 0.5000 0.0000 0.0000
O 0.5000 0.5000 0.0000
O 0.5000 0.5000 0.5000
O 0.6309 0.9210 0.3678
O 0.9210 0.6309 0.8678
O 0.9735 0.0265 0.7500

Top 10 peaks for 2θ from 15° to 90°, in order of rising 2θ:
two_theta, intensity
21.4, 91
27.2, 100
27.5, 42
34.8, 36
34.9, 37
35.1, 32
43.5, 21
48.4, 23
52.2, 32
53.5, 21



Record 3
Starting from DFT lattice parameters and positions (PBE), the X-ray powder pattern of Sc2Ga2Ir was computed for Cu Kα, 1.54184 Å.

Atomic structure:
Cell lengths 5.3390, 5.3390, 5.3390 Å; angles 133.28, 122.27, 77.32 degrees
Fractional positions:
Sc 0.1976 0.1976 0.0000
Sc 0.8024 0.8024 0.0000
Ga 0.2384 0.5000 0.7384
Ga 0.7616 0.5000 0.2616
Ir 0.5000 0.0000 0.5000

Top 10 peaks for 2θ from 15° to 90°, in order of rising 2θ:
two_theta, intensity
20.3, 54
21.3, 77
34.9, 100
36.7, 36
42.5, 98
42.7, 33
43.4, 22
53.1, 27
62.5, 27
70.9, 28



Record 4
Starting from DFT lattice parameters and positions (PBE), the X-ray powder pattern of Pu2TcGe3 was computed for Cu Kα, 1.54184 Å.

Atomic structure:
Cell lengths 5.5417, 5.5417, 6.8182 Å; angles 125.16, 125.16, 47.12 degrees
Fractional positions:
Pu 0.0000 0.0000 0.0000
Pu 0.1119 0.1119 0.6036
Tc 0.3811 0.3811 0.5916
Ge 0.3804 0.3804 0.1985
Ge 0.6907 0.6907 0.9663
Ge 0.7307 0.7307 0.4061

Top 10 peaks for 2θ from 15° to 90°, in order of rising 2θ:
two_theta, intensity
23.0, 53
32.6, 40
33.6, 47
33.8, 29
34.6, 100
35.6, 63
35.7, 29
39.8, 52
40.7, 59
55.3, 27